This entry pairs a crystal structure of K2BiPCO7 with its simulated powder diffractogram. Radiation: Cu Kα X-rays. Structure: a GGA-PBE-relaxed structure.

The 10 most intense peaks (5° ≤ 2θ ≤ 70°), low angle first:
| two_theta | d/Å | Rel. int. |
| --- | --- | --- |
| 8.95 | 9.877 | 1000 |
| 15.12 | 5.861 | 441 |
| 16.96 | 5.228 | 163 |
| 19.41 | 4.572 | 455 |
| 22.62 | 3.932 | 254 |
| 24.43 | 3.643 | 471 |
| 26.09 | 3.416 | 178 |
| 29.91 | 2.988 | 275 |
| 30.45 | 2.936 | 294 |
| 32.51 | 2.754 | 205 |

Structural model:
```
data_K2BiPCO7
_space_group_name_H-M_alt 'P 1 21/m 1'
_space_group_IT_number 11
_space_group_name_Hall '-P 2yb'
_cell_length_a 5.892
_cell_length_b 7.281
_cell_length_c 9.906
_cell_angle_alpha 90.00
_cell_angle_beta 94.40
_cell_angle_gamma 90.00
loop_
_atom_site_label
_atom_site_type_symbol
_atom_site_fract_x
_atom_site_fract_y
_atom_site_fract_z
K1 K 0.247 0.013 0.222
Bi1 Bi 0.212 0.250 0.620
P1 P 0.282 0.750 0.582
C1 C 0.277 0.250 0.902
O1 O 0.076 0.250 0.829
O2 O 0.180 0.750 0.429
O3 O 0.197 0.576 0.655
O4 O 0.292 0.250 0.028
O5 O 0.454 0.250 0.419
O6 O 0.455 0.250 0.828
```